Record 1
For Mg6ZnGa10, a PBE-relaxed structure gives the computed X-ray diffraction stick pattern in this record (Cu Ka).

Cell and atoms:
Unit cell a=8.3172 b=8.3172 c=5.5456 alpha=90.00 beta=90.00 gamma=120.00
Element x y z (fractional)
Mg1 0.0000 0.3536 0.3374
Mg2 0.0000 0.6464 0.6626
Mg3 0.3536 0.0000 0.3374
Mg4 0.3536 0.3536 0.6626
Mg5 0.6464 0.0000 0.6626
Mg6 0.6464 0.6464 0.3374
Zn1 0.0000 0.0000 0.5000
Ga1 0.0000 0.2795 0.8438
Ga2 0.0000 0.7205 0.1562
Ga3 0.2795 0.0000 0.8438
Ga4 0.2795 0.2795 0.1562
Ga5 0.3333 0.6667 0.0000
Ga6 0.3333 0.6667 0.5000
Ga7 0.6667 0.3333 0.0000
Ga8 0.6667 0.3333 0.5000
Ga9 0.7205 0.0000 0.1562
Ga10 0.7205 0.7205 0.8438

Peak list (10 most intense, 2θ from 15° to 90°, in order of rising 2θ)
2θ = 24.72°, rel. 13
2θ = 26.80°, rel. 32
2θ = 29.58°, rel. 12
2θ = 36.78°, rel. 32
2θ = 37.46°, rel. 91
2θ = 39.04°, rel. 100
2θ = 55.22°, rel. 26
2θ = 58.26°, rel. 14
2θ = 68.64°, rel. 20
2θ = 71.77°, rel. 16

Record 2
For Mg2Zn15Ga2, a PBE-relaxed structure gives the computed X-ray diffraction stick pattern in this record (Cu Ka).

Cell and atoms:
Unit cell a=6.8136 b=6.8136 c=6.8136 alpha=83.71 beta=83.71 gamma=83.71
Element x y z (fractional)
Mg1 0.1357 0.1357 0.1357
Mg2 0.8643 0.8643 0.8643
Zn1 0.0000 0.5000 0.5000
Zn2 0.1612 0.1612 0.6728
Zn3 0.1612 0.6728 0.1612
Zn4 0.1670 0.5000 0.8330
Zn5 0.1670 0.8330 0.5000
Zn6 0.3272 0.8388 0.8388
Zn7 0.5000 0.0000 0.5000
Zn8 0.5000 0.1670 0.8330
Zn9 0.5000 0.5000 0.0000
Zn10 0.5000 0.8330 0.1670
Zn11 0.6728 0.1612 0.1612
Zn12 0.8330 0.1670 0.5000
Zn13 0.8330 0.5000 0.1670
Zn14 0.8388 0.3272 0.8388
Zn15 0.8388 0.8388 0.3272
Ga1 0.4012 0.4012 0.4012
Ga2 0.5988 0.5988 0.5988

Peak list (10 most intense, 2θ from 15° to 90°, in order of rising 2θ)
2θ = 19.53°, rel. 32
2θ = 34.16°, rel. 26
2θ = 39.65°, rel. 39
2θ = 40.14°, rel. 80
2θ = 41.58°, rel. 29
2θ = 45.01°, rel. 100
2θ = 46.33°, rel. 37
2θ = 65.20°, rel. 17
2θ = 69.79°, rel. 19
2θ = 71.95°, rel. 25

Record 3
For Mg3Zn4Ga4, a PBE-relaxed structure gives the computed X-ray diffraction stick pattern in this record (Cu Ka).

Cell and atoms:
Unit cell a=3.2393 b=4.5144 c=13.7060 alpha=99.30 beta=96.34 gamma=90.15
Element x y z (fractional)
Mg1 0.0000 0.0000 0.0000
Mg2 0.1383 0.6393 0.2798
Mg3 0.8617 0.3607 0.7202
Zn1 0.2653 0.2642 0.5293
Zn2 0.4125 0.9096 0.8177
Zn3 0.5875 0.0904 0.1823
Zn4 0.7347 0.7358 0.4707
Ga1 0.3130 0.8164 0.6304
Ga2 0.4552 0.4534 0.9045
Ga3 0.5448 0.5466 0.0955
Ga4 0.6870 0.1836 0.3696

Peak list (10 most intense, 2θ from 15° to 90°, in order of rising 2θ)
2θ = 22.05°, rel. 40
2θ = 27.74°, rel. 88
2θ = 36.14°, rel. 41
2θ = 36.42°, rel. 39
2θ = 36.59°, rel. 75
2θ = 36.69°, rel. 38
2θ = 36.81°, rel. 37
2θ = 39.94°, rel. 100
2θ = 41.99°, rel. 76
2θ = 42.10°, rel. 75